Entry 1:
Diffraction record for Na2CdPb9. The X-ray diffraction stick pattern is calculated, not measured: it uses the GGA-PBE geometry in Alexandria and CuKα.

Cell and atoms:
Cell lengths 4.9326, 4.9326, 14.7307 Å; angles 90.00, 90.00, 90.00 degrees
Sites, in units of the cell vectors:
Na  0.0000  0.0000  0.1666
Na  0.0000  0.0000  0.8334
Cd  0.0000  0.0000  0.5000
Pb  0.0000  0.5000  0.0000
Pb  0.0000  0.5000  0.3353
Pb  0.0000  0.5000  0.6647
Pb  0.5000  0.0000  0.0000
Pb  0.5000  0.0000  0.3353
Pb  0.5000  0.0000  0.6647
Pb  0.5000  0.5000  0.1685
Pb  0.5000  0.5000  0.5000
Pb  0.5000  0.5000  0.8315

Peak list (6 most intense, 15 to 90 degrees two-theta, in order of rising 2θ)
- 2θ 31.46, rel. 100.0
- 2θ 36.43, rel. 34.1
- 2θ 36.60, rel. 16.8
- 2θ 52.60, rel. 24.1
- 2θ 62.47, rel. 29.1
- 2θ 62.70, rel. 14.3


Entry 2:
Diffraction record for Sm3HgNCl. The X-ray diffraction stick pattern is calculated, not measured: it uses the GGA-PBE geometry in Alexandria and CuKα.

Cell and atoms:
Cell lengths 7.8404, 3.6023, 10.7704 Å; angles 90.00, 105.69, 90.00 degrees
Sites, in units of the cell vectors:
Sm  0.1350  0.2500  0.1310
Sm  0.2863  0.7500  0.5076
Sm  0.2915  0.7500  0.8777
Sm  0.7085  0.2500  0.1223
Sm  0.7137  0.2500  0.4924
Sm  0.8650  0.7500  0.8690
Hg  0.4796  0.7500  0.2703
Hg  0.5204  0.2500  0.7297
N  0.1021  0.2500  0.9103
N  0.8979  0.7500  0.0897
Cl  0.0115  0.2500  0.3685
Cl  0.9885  0.7500  0.6315

Peak list (6 most intense, 15 to 90 degrees two-theta, in order of rising 2θ)
- 2θ 29.74, rel. 100.0
- 2θ 29.96, rel. 91.0
- 2θ 32.92, rel. 73.4
- 2θ 33.87, rel. 64.1
- 2θ 34.41, rel. 60.5
- 2θ 36.01, rel. 70.6


Entry 3:
Diffraction record for Na4Dy3TmS8. The X-ray diffraction stick pattern is calculated, not measured: it uses the GGA-PBE geometry in Alexandria and CuKα.

Cell and atoms:
Cell lengths 8.1009, 8.1009, 8.1009 Å; angles 58.72, 58.72, 58.72 degrees
Sites, in units of the cell vectors:
Na  0.0000  0.0000  0.0000
Na  0.0000  0.5000  0.5000
Na  0.5000  0.0000  0.5000
Na  0.5000  0.5000  0.0000
Dy  0.0000  0.0000  0.5000
Dy  0.0000  0.5000  0.0000
Dy  0.5000  0.0000  0.0000
Tm  0.5000  0.5000  0.5000
S  0.2423  0.2423  0.2423
S  0.2448  0.7404  0.7404
S  0.2596  0.2596  0.7552
S  0.2596  0.7552  0.2596
S  0.7404  0.2448  0.7404
S  0.7404  0.7404  0.2448
S  0.7552  0.2596  0.2596
S  0.7577  0.7577  0.7577

Peak list (6 most intense, 15 to 90 degrees two-theta, in order of rising 2θ)
- 2θ 26.29, rel. 44.5
- 2θ 27.42, rel. 31.4
- 2θ 31.56, rel. 100.0
- 2θ 44.77, rel. 35.7
- 2θ 45.69, rel. 35.0
- 2θ 47.78, rel. 21.7


Entry 4:
Diffraction record for La3TiBi. The X-ray diffraction stick pattern is calculated, not measured: it uses the GGA-PBE geometry in Alexandria and CuKα.

Cell and atoms:
Cell lengths 5.4463, 5.4463, 5.4463 Å; angles 90.00, 90.00, 90.00 degrees
Sites, in units of the cell vectors:
La  0.0000  0.0000  0.5000
La  0.0000  0.5000  0.0000
La  0.5000  0.0000  0.0000
Ti  0.0000  0.0000  0.0000
Bi  0.5000  0.5000  0.5000

Peak list (6 most intense, 15 to 90 degrees two-theta, in order of rising 2θ)
- 2θ 28.38, rel. 100.0
- 2θ 32.89, rel. 70.0
- 2θ 47.20, rel. 51.0
- 2θ 56.00, rel. 46.0
- 2θ 76.19, rel. 18.9
- 2θ 78.55, rel. 22.9


Entry 5:
Diffraction record for SrI2. The X-ray diffraction stick pattern is calculated, not measured: it uses the GGA-PBE geometry in Alexandria and CuKα.

Cell and atoms:
Cell lengths 7.9935, 15.7150, 8.3140 Å; angles 90.00, 90.00, 90.00 degrees
Sites, in units of the cell vectors:
Sr  0.2267  0.1122  0.0489
Sr  0.2267  0.3878  0.5489
Sr  0.2733  0.6122  0.0489
Sr  0.2733  0.8878  0.5489
Sr  0.7267  0.1122  0.4511
Sr  0.7267  0.3878  0.9511
Sr  0.7733  0.6122  0.4511
Sr  0.7733  0.8878  0.9511
I  0.0035  0.0300  0.7348
I  0.0035  0.4700  0.2348
I  0.1502  0.7055  0.3878
I  0.1502  0.7945  0.8878
I  0.3498  0.2055  0.3878
I  0.3498  0.2945  0.8878
I  0.4965  0.5300  0.7348
I  0.4965  0.9700  0.2348
I  0.5035  0.0300  0.7652
I  0.5035  0.4700  0.2652
I  0.6502  0.7055  0.1122
I  0.6502  0.7945  0.6122
I  0.8498  0.2055  0.1122
I  0.8498  0.2945  0.6122
I  0.9965  0.5300  0.7652
I  0.9965  0.9700  0.2652

Peak list (6 most intense, 15 to 90 degrees two-theta, in order of rising 2θ)
- 2θ 22.95, rel. 49.0
- 2θ 24.21, rel. 44.6
- 2θ 25.04, rel. 100.0
- 2θ 26.70, rel. 36.2
- 2θ 31.04, rel. 55.0
- 2θ 37.73, rel. 37.4


Entry 6:
Diffraction record for ErCd2P2Pt7. The X-ray diffraction stick pattern is calculated, not measured: it uses the GGA-PBE geometry in Alexandria and CuKα.

Cell and atoms:
Cell lengths 3.9857, 3.9857, 13.9627 Å; angles 95.47, 95.47, 89.98 degrees
Sites, in units of the cell vectors:
Er  0.0000  0.0000  0.0000
Cd  0.0944  0.0944  0.4028
Cd  0.9056  0.9056  0.5972
P  0.4184  0.4184  0.7476
P  0.5816  0.5816  0.2524
Pt  0.0511  0.5517  0.1574
Pt  0.4036  0.4036  0.5848
Pt  0.4483  0.9489  0.8426
Pt  0.5000  0.5000  0.0000
Pt  0.5517  0.0511  0.1574
Pt  0.5964  0.5964  0.4152
Pt  0.9489  0.4483  0.8426

Peak list (6 most intense, 15 to 90 degrees two-theta, in order of rising 2θ)
- 2θ 32.38, rel. 98.9
- 2θ 34.37, rel. 66.5
- 2θ 35.25, rel. 84.1
- 2θ 36.27, rel. 99.3
- 2θ 37.40, rel. 100.0
- 2θ 45.57, rel. 63.8


Entry 7:
Diffraction record for HoGaP. The X-ray diffraction stick pattern is calculated, not measured: it uses the GGA-PBE geometry in Alexandria and CuKα.

Cell and atoms:
Cell lengths 8.0927, 8.0927, 8.0927 Å; angles 33.49, 33.49, 33.49 degrees
Sites, in units of the cell vectors:
Ho  0.2242  0.2242  0.2242
Ho  0.7758  0.7758  0.7758
Ga  0.3552  0.3552  0.3552
Ga  0.6448  0.6448  0.6448
P  0.1027  0.1027  0.1027
P  0.8973  0.8973  0.8973

Peak list (6 most intense, 15 to 90 degrees two-theta, in order of rising 2θ)
- 2θ 23.36, rel. 100.0
- 2θ 29.49, rel. 19.1
- 2θ 35.31, rel. 82.1
- 2θ 38.61, rel. 77.8
- 2θ 45.62, rel. 21.9
- 2θ 53.31, rel. 53.5


Entry 8:
Diffraction record for Dy4Er7Pu. The X-ray diffraction stick pattern is calculated, not measured: it uses the GGA-PBE geometry in Alexandria and CuKα.

Cell and atoms:
Cell lengths 6.4384, 8.3144, 8.5002 Å; angles 106.43, 111.17, 105.96 degrees
Sites, in units of the cell vectors:
Dy  0.0000  0.0000  0.0000
Dy  0.0076  0.8098  0.2992
Dy  0.6077  0.3510  0.4962
Dy  0.6261  0.1792  0.8170
Er  0.0399  0.3987  0.3171
Er  0.0475  0.1854  0.6422
Er  0.1399  0.7803  0.6916
Er  0.4553  0.3967  0.1109
Er  0.5301  0.5970  0.8319
Er  0.5605  0.9782  0.1592
Er  0.5662  0.7714  0.4856
Pu  0.0815  0.5769  0.9650

Peak list (6 most intense, 15 to 90 degrees two-theta, in order of rising 2θ)
- 2θ 30.49, rel. 38.8
- 2θ 32.08, rel. 100.0
- 2θ 32.19, rel. 63.1
- 2θ 32.89, rel. 52.0
- 2θ 32.99, rel. 54.9
- 2θ 33.80, rel. 19.6


Entry 9:
Diffraction record for Hf3BSe2. The X-ray diffraction stick pattern is calculated, not measured: it uses the GGA-PBE geometry in Alexandria and CuKα.

Cell and atoms:
Cell lengths 12.1587, 11.6041, 6.4868 Å; angles 78.93, 69.49, 31.57 degrees
Sites, in units of the cell vectors:
Hf  0.0352  0.5306  0.1668
Hf  0.0716  0.6784  0.6784
Hf  0.1668  0.7674  0.0352
Hf  0.2326  0.8332  0.4694
Hf  0.3216  0.9284  0.9284
Hf  0.4694  0.9648  0.2326
Hf  0.5306  0.0352  0.7674
Hf  0.6784  0.0716  0.0716
Hf  0.7674  0.1668  0.5306
Hf  0.8332  0.2326  0.9648
Hf  0.9284  0.3216  0.3216
Hf  0.9648  0.4694  0.8332
B  0.0413  0.0413  0.2087
B  0.2087  0.2087  0.0413
B  0.7913  0.7913  0.9587
B  0.9587  0.9587  0.7913
Se  0.1308  0.1308  0.6192
Se  0.2959  0.2959  0.4541
Se  0.3808  0.3808  0.8692
Se  0.4541  0.4541  0.2959
Se  0.5459  0.5459  0.7041
Se  0.6192  0.6192  0.1308
Se  0.7041  0.7041  0.5459
Se  0.8692  0.8692  0.3808

Peak list (6 most intense, 15 to 90 degrees two-theta, in order of rising 2θ)
- 2θ 28.99, rel. 21.3
- 2θ 29.77, rel. 26.1
- 2θ 34.06, rel. 100.0
- 2θ 44.30, rel. 15.4
- 2θ 48.95, rel. 39.0
- 2θ 61.83, rel. 14.1


Entry 10:
Diffraction record for Ag8S3. The X-ray diffraction stick pattern is calculated, not measured: it uses the GGA-PBE geometry in Alexandria and CuKα.

Cell and atoms:
Cell lengths 6.0039, 6.0039, 6.0039 Å; angles 90.19, 90.19, 90.19 degrees
Sites, in units of the cell vectors:
Ag  0.1417  0.1417  0.1417
Ag  0.2022  0.6069  0.3664
Ag  0.3664  0.2022  0.6069
Ag  0.3931  0.6336  0.7978
Ag  0.6069  0.3664  0.2022
Ag  0.6336  0.7978  0.3931
Ag  0.7978  0.3931  0.6336
Ag  0.8583  0.8583  0.8583
S  0.0000  0.0000  0.5000
S  0.0000  0.5000  0.0000
S  0.5000  0.0000  0.0000

Peak list (6 most intense, 15 to 90 degrees two-theta, in order of rising 2θ)
- 2θ 33.35, rel. 100.0
- 2θ 36.64, rel. 36.5
- 2θ 36.77, rel. 29.9
- 2θ 45.30, rel. 10.3
- 2θ 50.39, rel. 23.4
- 2θ 57.32, rel. 17.3


Please write out number 1 again, unchanged.
Diffraction record for Na2CdPb9. The X-ray diffraction stick pattern is calculated, not measured: it uses the GGA-PBE geometry in Alexandria and CuKα.

Cell and atoms:
Cell lengths 4.9326, 4.9326, 14.7307 Å; angles 90.00, 90.00, 90.00 degrees
Sites, in units of the cell vectors:
Na  0.0000  0.0000  0.1666
Na  0.0000  0.0000  0.8334
Cd  0.0000  0.0000  0.5000
Pb  0.0000  0.5000  0.0000
Pb  0.0000  0.5000  0.3353
Pb  0.0000  0.5000  0.6647
Pb  0.5000  0.0000  0.0000
Pb  0.5000  0.0000  0.3353
Pb  0.5000  0.0000  0.6647
Pb  0.5000  0.5000  0.1685
Pb  0.5000  0.5000  0.5000
Pb  0.5000  0.5000  0.8315

Peak list (6 most intense, 15 to 90 degrees two-theta, in order of rising 2θ)
- 2θ 31.46, rel. 100.0
- 2θ 36.43, rel. 34.1
- 2θ 36.60, rel. 16.8
- 2θ 52.60, rel. 24.1
- 2θ 62.47, rel. 29.1
- 2θ 62.70, rel. 14.3